The following is a theoretical PXRD pattern of Dy8TmTh4. It was derived from a cell relaxed with GGA-PBE, using a wavelength of 1.5418 Å.

Lattice parameters (Å, degrees): 7.3752 7.3752 26.7029 90.00 90.00 120.00
Space group R-3m (No. 166, hexagonal axes)
One atom of each set of equivalent atoms:
Dy (0.0000, 0.0000, 0.2200) [6 per cell]
Dy (0.0387, 0.5194, 0.7688) [18 per cell]
Tm (0.0000, 0.0000, 0.5000) [3 per cell]
Th (0.0000, 0.0000, 0.0000) [3 per cell]
Th (0.0000, 0.5000, 0.0000) [9 per cell]

Main lines, in order of falling intensity (2θ = 10–90°):
2θ = 31.0°, I = 1000
2θ = 32.7°, I = 437
2θ = 39.0°, I = 324
2θ = 49.4°, I = 300
2θ = 30.1°, I = 293
2θ = 59.0°, I = 236
2θ = 28.1°, I = 233
2θ = 53.0°, I = 181
2θ = 59.5°, I = 143
2θ = 85.6°, I = 115

***

The following is a theoretical PXRD pattern of LiIn5Hg2. It was derived from a cell relaxed with GGA-PBE, using a wavelength of 1.5418 Å.

Lattice parameters (Å, degrees): 6.529 12.872 4.707 90.00 90.00 90.00
Space group Pbam (No. 55)
One atom of each set of equivalent atoms:
Li (0.000, 0.000, 0.000) [2 per cell]
In (0.000, 0.500, 0.000) [2 per cell]
In (0.007, 0.244, 0.000) [4 per cell]
In (0.240, 0.626, 0.500) [4 per cell]
Hg (0.226, 0.886, 0.500) [4 per cell]

Main lines, in order of falling intensity (2θ = 10–90°):
2θ = 33.4°, I = 1000
2θ = 33.7°, I = 980
2θ = 39.3°, I = 617
2θ = 56.0°, I = 433
2θ = 38.2°, I = 362
2θ = 67.3°, I = 216
2θ = 67.9°, I = 216
2θ = 18.9°, I = 160
2θ = 66.1°, I = 144
2θ = 66.3°, I = 136

***

The following is a theoretical PXRD pattern of Y5Sn4. It was derived from a cell relaxed with GGA-PBE, using a wavelength of 1.5418 Å.

Lattice parameters (Å, degrees): 9.475 9.475 6.155 90.00 90.00 90.00
Space group I4/m (No. 87)
One atom of each set of equivalent atoms:
Y (0.000, 0.000, 0.000) [2 per cell]
Y (0.104, 0.737, 0.500) [8 per cell]
Sn (0.080, 0.683, 0.000) [8 per cell]

Main lines, in order of falling intensity (2θ = 10–90°):
2θ = 29.8°, I = 1000
2θ = 42.1°, I = 782
2θ = 29.0°, I = 607
2θ = 52.4°, I = 331
2θ = 42.7°, I = 302
2θ = 31.8°, I = 283
2θ = 37.2°, I = 233
2θ = 68.6°, I = 185
2θ = 61.4°, I = 169
2θ = 64.8°, I = 130